Record 1
Diffraction record for V5Mo7. The X-ray powder pattern is calculated, not measured: it uses a structure optimized by DFT (PBE) and Cu Kα (λ = 1.5418 Å).
Kinematic intensities with the Lorentz-polarization factor, no thermal factor.

Largest 8 diffraction maxima, in order of falling intensity, 2θ from 10° to 80°:
2θ 41.26, I 100.0
2θ 41.40, I 20.8
2θ 75.14, I 19.0
2θ 75.33, I 13.0
2θ 59.76, I 12.9
2θ 59.88, I 6.2
2θ 75.45, I 6.2
2θ 16.92, I 5.7

Structure:
Cell: 6.7236 6.7236 8.7651 Å, 90.09 90.09 26.62°
Atoms (fractional coordinates):
1 V 0.0000 0.0000 0.0000
2 V 0.1667 0.1667 0.7472
3 V 0.3318 0.3318 0.4994
4 V 0.6682 0.6682 0.5006
5 V 0.8333 0.8333 0.2528
6 Mo 0.0000 0.0000 0.5000
7 Mo 0.1684 0.1684 0.2531
8 Mo 0.3340 0.3340 0.0007
9 Mo 0.4983 0.4983 0.2498
10 Mo 0.5017 0.5017 0.7502
11 Mo 0.6660 0.6660 0.9993
12 Mo 0.8316 0.8316 0.7469

Record 2
Diffraction record for VMo2. The X-ray powder pattern is calculated, not measured: it uses a structure optimized by DFT (PBE) and Cu Kα (λ = 1.5418 Å).
Kinematic intensities with the Lorentz-polarization factor, no thermal factor.

Largest 8 diffraction maxima, in order of falling intensity, 2θ from 10° to 80°:
2θ 40.86, I 100.0
2θ 41.24, I 94.2
2θ 74.91, I 31.6
2θ 59.45, I 31.5
2θ 74.15, I 16.5
2θ 23.46, I 15.6
2θ 75.17, I 15.1
2θ 53.78, I 3.8

Structure:
Cell: 4.3786 4.3786 2.7165 Å, 90.00 90.00 120.00°
Atoms (fractional coordinates):
1 V 0.0000 0.0000 0.0000
2 Mo 0.3333 0.6667 0.6638
3 Mo 0.6667 0.3333 0.3362

Record 3
Diffraction record for V3Mo5. The X-ray powder pattern is calculated, not measured: it uses a structure optimized by DFT (PBE) and Cu Kα (λ = 1.5418 Å).
Kinematic intensities with the Lorentz-polarization factor, no thermal factor.

Largest 8 diffraction maxima, in order of falling intensity, 2θ from 10° to 80°:
2θ 41.20, I 100.0
2θ 75.05, I 21.3
2θ 59.62, I 10.6
2θ 75.17, I 10.6
2θ 29.70, I 5.4
2θ 59.80, I 5.2
2θ 21.55, I 2.7
2θ 46.92, I 1.5

Structure:
Cell: 3.1015 3.1015 12.3726 Å, 90.00 90.00 90.00°
Atoms (fractional coordinates):
1 V 0.0000 0.0000 0.0000
2 V 0.5000 0.5000 0.3774
3 V 0.5000 0.5000 0.6226
4 Mo 0.0000 0.0000 0.2516
5 Mo 0.0000 0.0000 0.5000
6 Mo 0.0000 0.0000 0.7484
7 Mo 0.5000 0.5000 0.1247
8 Mo 0.5000 0.5000 0.8753

Record 4
Diffraction record for V4Mo3W. The X-ray powder pattern is calculated, not measured: it uses a structure optimized by DFT (PBE) and Cu Kα (λ = 1.5418 Å).
Kinematic intensities with the Lorentz-polarization factor, no thermal factor.

Largest 8 diffraction maxima, in order of falling intensity, 2θ from 10° to 80°:
2θ 41.52, I 100.0
2θ 29.03, I 21.6
2θ 75.71, I 21.4
2θ 60.11, I 10.7
2θ 75.83, I 10.7
2θ 10.16, I 6.6
2θ 51.46, I 6.2
2θ 68.13, I 5.6

Structure:
Cell: 3.0704 4.3543 8.7055 Å, 90.00 90.00 90.00°
Atoms (fractional coordinates):
1 V 0.0000 0.0000 0.0000
2 V 0.0000 0.0000 0.5000
3 V 0.0000 0.5000 0.2490
4 V 0.0000 0.5000 0.7510
5 Mo 0.5000 0.0000 0.2503
6 Mo 0.5000 0.0000 0.7497
7 Mo 0.5000 0.5000 0.0000
8 W 0.5000 0.5000 0.5000

Record 5
Diffraction record for VMoW14. The X-ray powder pattern is calculated, not measured: it uses a structure optimized by DFT (PBE) and Cu Kα (λ = 1.5418 Å).
Kinematic intensities with the Lorentz-polarization factor, no thermal factor.

Largest 8 diffraction maxima, in order of falling intensity, 2θ from 10° to 80°:
2θ 40.13, I 100.0
2θ 40.27, I 19.8
2θ 72.86, I 14.0
2θ 72.94, I 13.9
2θ 73.10, I 13.9
2θ 58.17, I 13.6
2θ 57.93, I 6.9
2θ 19.79, I 1.6

Structure:
Cell: 5.4957 5.4957 8.9842 Å, 90.00 90.00 109.19°
Atoms (fractional coordinates):
1 V 0.0000 0.0000 0.0000
2 Mo 0.5000 0.5000 0.0000
3 W 0.0000 0.0000 0.5000
4 W 0.0000 0.5000 0.0000
5 W 0.0000 0.5000 0.5000
6 W 0.2487 0.2487 0.2479
7 W 0.2487 0.2487 0.7521
8 W 0.2492 0.7508 0.2487
9 W 0.2492 0.7508 0.7513
10 W 0.5000 0.0000 0.0000
11 W 0.5000 0.0000 0.5000
12 W 0.5000 0.5000 0.5000
13 W 0.7508 0.2492 0.2487
14 W 0.7508 0.2492 0.7513
15 W 0.7513 0.7513 0.2479
16 W 0.7513 0.7513 0.7521

Record 6
Diffraction record for VMo2W3. The X-ray powder pattern is calculated, not measured: it uses a structure optimized by DFT (PBE) and Cu Kα (λ = 1.5418 Å).
Kinematic intensities with the Lorentz-polarization factor, no thermal factor.

Largest 8 diffraction maxima, in order of falling intensity, 2θ from 10° to 80°:
2θ 40.53, I 100.0
2θ 40.31, I 20.4
2θ 73.77, I 16.9
2θ 19.96, I 16.3
2θ 58.52, I 13.5
2θ 73.53, I 10.3
2θ 34.89, I 8.5
2θ 73.35, I 6.9

Structure:
Cell: 4.4749 8.8951 5.2125 Å, 90.00 115.28 90.00°
Atoms (fractional coordinates):
1 V 0.1662 0.0000 0.3321
2 V 0.8338 0.0000 0.6679
3 Mo 0.1665 0.5000 0.3329
4 Mo 0.5000 0.0000 0.0000
5 Mo 0.5000 0.5000 0.0000
6 Mo 0.8335 0.5000 0.6671
7 W 0.0000 0.2471 0.0000
8 W 0.0000 0.7529 0.0000
9 W 0.3323 0.2459 0.6649
10 W 0.3323 0.7541 0.6649
11 W 0.6677 0.2459 0.3351
12 W 0.6677 0.7541 0.3351